# 1
The following is a computed powder X-ray diffraction pattern of NbVCr. It was derived from DFT lattice parameters and positions (GGA-PBE), using Cu Kα (weighted mean of Kα1 and Kα2).

Structural model:
```
NbVCr
1.0
-2.4756 2.5234 3.5245
2.4756 -2.5234 3.5245
2.4756 2.5234 -3.5245
Nb V Cr
2 2 2
direct
0.3738 0.1238 0.2500 Nb
0.6262 0.8762 0.7500 Nb
0.0000 0.5000 0.5000 V
0.5000 0.5000 0.0000 V
0.0000 0.0000 0.5000 Cr
0.0000 0.5000 0.0000 Cr
```

The 10 most intense peaks (10° ≤ 2θ ≤ 90°), by angle:
2θ = 35.58°, I = 20; 2θ = 35.99°, I = 70; 2θ = 36.29°, I = 16; 2θ = 42.19°, I = 68; 2θ = 42.44°, I = 36; 2θ = 42.63°, I = 100; 2θ = 44.14°, I = 22; 2θ = 44.74°, I = 22; 2θ = 69.32°, I = 22; 2θ = 76.31°, I = 30

=====

# 2
The following is a computed powder X-ray diffraction pattern of YCuPbS3. It was derived from DFT lattice parameters and positions (GGA-PBE), using Cu Kα (weighted mean of Kα1 and Kα2).

Structural model:
```
YCuPbS3
1.0
10.2800 0.0000 0.0000
0.0000 3.9260 0.0000
0.0000 0.0000 13.0333
Y Cu Pb S
4 4 4 12
direct
0.0063 0.2500 0.2497 Y
0.4937 0.7500 0.7497 Y
0.5063 0.2500 0.2503 Y
0.9937 0.7500 0.7503 Y
0.2437 0.2500 0.7173 Cu
0.2563 0.7500 0.2173 Cu
0.7437 0.2500 0.7827 Cu
0.7563 0.7500 0.2827 Cu
0.2448 0.7500 0.5021 Pb
0.2552 0.2500 0.0021 Pb
0.7448 0.7500 0.9979 Pb
0.7552 0.2500 0.4979 Pb
0.0613 0.2500 0.6119 S
0.0745 0.7500 0.1118 S
0.2438 0.7500 0.8247 S
0.2562 0.2500 0.3247 S
0.4255 0.2500 0.6118 S
0.4387 0.7500 0.1119 S
0.5613 0.2500 0.8881 S
0.5745 0.7500 0.3882 S
0.7438 0.7500 0.6753 S
0.7562 0.2500 0.1753 S
0.9255 0.2500 0.8882 S
0.9387 0.7500 0.3881 S
```

The 10 most intense peaks (10° ≤ 2θ ≤ 90°), by angle:
2θ = 17.25°, I = 36; 2θ = 22.03°, I = 60; 2θ = 25.23°, I = 48; 2θ = 27.37°, I = 31; 2θ = 31.93°, I = 100; 2θ = 34.91°, I = 34; 2θ = 35.44°, I = 75; 2θ = 40.65°, I = 37; 2θ = 45.33°, I = 33; 2θ = 54.62°, I = 33

=====

# 3
The following is a computed powder X-ray diffraction pattern of Zn5CoN4. It was derived from DFT lattice parameters and positions (GGA-PBE), using Cu Kα (weighted mean of Kα1 and Kα2).

Structural model:
```
Zn5CoN4
1.0
6.5322 0.0000 0.0000
0.0000 7.3264 0.0000
0.0000 0.0000 4.9857
Zn Co N
10 2 8
direct
0.9995 0.0663 0.2471 Zn
0.9995 0.4337 0.2471 Zn
0.0005 0.5663 0.7529 Zn
0.0005 0.9337 0.7529 Zn
0.2500 0.2500 0.7675 Zn
0.5005 0.0663 0.2471 Zn
0.5005 0.4337 0.2471 Zn
0.4995 0.5663 0.7529 Zn
0.4995 0.9337 0.7529 Zn
0.7500 0.7500 0.2325 Zn
0.2500 0.7500 0.2282 Co
0.7500 0.2500 0.7718 Co
0.0064 0.7500 0.4586 N
0.2500 0.5014 0.0038 N
0.2500 0.9986 0.0038 N
0.4936 0.7500 0.4586 N
0.5064 0.2500 0.5414 N
0.7500 0.0014 0.9962 N
0.7500 0.4986 0.9962 N
0.9936 0.2500 0.5414 N
```

The 10 most intense peaks (10° ≤ 2θ ≤ 90°), by angle:
2θ = 27.31°, I = 19; 2θ = 35.05°, I = 100; 2θ = 36.03°, I = 53; 2θ = 36.87°, I = 56; 2θ = 41.16°, I = 92; 2θ = 52.50°, I = 69; 2θ = 56.34°, I = 22; 2θ = 64.15°, I = 17; 2θ = 72.11°, I = 31; 2θ = 73.31°, I = 25

=====

# 4
The following is a computed powder X-ray diffraction pattern of La3C3Cl2. It was derived from DFT lattice parameters and positions (GGA-PBE), using Cu Kα (weighted mean of Kα1 and Kα2).

Structural model:
```
La3C3Cl2
1.0
7.8298 0.0000 0.0000
0.0000 12.9062 0.0000
-1.7718 0.0000 6.7631
La C Cl
12 12 8
direct
0.1190 0.1788 0.3683 La
0.1190 0.3212 0.8683 La
0.1904 0.0077 0.8757 La
0.1904 0.4923 0.3757 La
0.2643 0.6502 0.8631 La
0.2643 0.8498 0.3631 La
0.7357 0.1502 0.6369 La
0.7357 0.3498 0.1369 La
0.8096 0.5077 0.6243 La
0.8096 0.9923 0.1243 La
0.8810 0.6788 0.1317 La
0.8810 0.8212 0.6317 La
0.0052 0.6320 0.5251 C
0.0052 0.8680 0.0251 C
0.0587 0.5300 0.9712 C
0.0587 0.9700 0.4712 C
0.1139 0.7042 0.4765 C
0.1139 0.7958 0.9765 C
0.8861 0.2042 0.0235 C
0.8861 0.2958 0.5235 C
0.9413 0.0300 0.5288 C
0.9413 0.4700 0.0288 C
0.9948 0.1320 0.9749 C
0.9948 0.3680 0.4749 C
0.3857 0.1862 0.7682 Cl
0.3857 0.3138 0.2682 Cl
0.4499 0.0570 0.2623 Cl
0.4499 0.4430 0.7623 Cl
0.5501 0.5570 0.2377 Cl
0.5501 0.9430 0.7377 Cl
0.6143 0.6862 0.7318 Cl
0.6143 0.8138 0.2318 Cl
```

The 10 most intense peaks (10° ≤ 2θ ≤ 90°), by angle:
2θ = 11.68°, I = 39; 2θ = 24.52°, I = 80; 2θ = 25.73°, I = 25; 2θ = 25.99°, I = 42; 2θ = 27.61°, I = 41; 2θ = 28.68°, I = 74; 2θ = 31.59°, I = 65; 2θ = 31.73°, I = 100; 2θ = 44.23°, I = 38; 2θ = 45.42°, I = 24

=====

# 5
The following is a computed powder X-ray diffraction pattern of Ba3SmRu2O9. It was derived from DFT lattice parameters and positions (GGA-PBE), using Cu Kα (weighted mean of Kα1 and Kα2).

Structural model:
```
Ba3SmRu2O9
1.0
5.9943 0.0000 0.0000
-2.9971 5.1912 0.0000
0.0000 0.0000 14.7912
Ba Sm Ru O
6 2 4 18
direct
0.0000 0.0000 0.2500 Ba
0.0000 0.0000 0.7500 Ba
0.3333 0.6667 0.0991 Ba
0.3333 0.6667 0.4009 Ba
0.6667 0.3333 0.5991 Ba
0.6667 0.3333 0.9009 Ba
0.0000 0.0000 0.0000 Sm
0.0000 0.0000 0.5000 Sm
0.3333 0.6667 0.6656 Ru
0.3333 0.6667 0.8344 Ru
0.6667 0.3333 0.1656 Ru
0.6667 0.3333 0.3344 Ru
0.0190 0.5095 0.7500 O
0.1776 0.3552 0.5908 O
0.1776 0.3552 0.9092 O
0.1776 0.8224 0.5908 O
0.1776 0.8224 0.9092 O
0.3552 0.1776 0.0908 O
0.3552 0.1776 0.4092 O
0.4905 0.5095 0.7500 O
0.4905 0.9810 0.7500 O
0.5095 0.0190 0.2500 O
0.5095 0.4905 0.2500 O
0.6448 0.8224 0.5908 O
0.6448 0.8224 0.9092 O
0.8224 0.1776 0.0908 O
0.8224 0.1776 0.4092 O
0.8224 0.6448 0.0908 O
0.8224 0.6448 0.4092 O
0.9810 0.4905 0.2500 O
```

The 10 most intense peaks (10° ≤ 2θ ≤ 90°), by angle:
2θ = 24.91°, I = 21; 2θ = 29.66°, I = 71; 2θ = 29.81°, I = 100; 2θ = 39.22°, I = 17; 2θ = 42.55°, I = 41; 2θ = 46.40°, I = 13; 2θ = 52.86°, I = 47; 2θ = 61.92°, I = 19; 2θ = 70.14°, I = 13; 2θ = 85.74°, I = 19